The following is a simulated powder diffraction line list of K2Mn3V2H2O10. It was derived from a crystal structure in the Materials Project, relaxed with PBE+U, using Cu Ka.

Principal peaks in the range 15 to 90 degrees two-theta, by intensity:
| 2theta | d [Å] | I/Imax | h k l |
| --- | --- | --- | --- |
| 31.3 | 2.854 | 100.0 | 3 1 2 |
| 33.3 | 2.692 | 85.9 | 0 2 2 |
| 33.8 | 2.651 | 85.7 | 5 1 -2 |
| 32.9 | 2.722 | 84.3 | 2 0 -4 |
| 37.0 | 2.427 | 67.0 | 2 2 2 |
| 25.5 | 3.489 | 65.4 | 4 0 -2 |
| 31.0 | 2.883 | 51.9 | 2 2 0 |
| 23.0 | 3.873 | 51.6 | 3 1 0 |
| 33.5 | 2.675 | 41.7 | 5 1 0 |
| 44.2 | 2.051 | 41.7 | 4 2 2 |

Atomic structure:
```
data_K2Mn3V2H2O10
_chemical_formula_sum 'K8 Mn12 V8 H8 O40'
_cell_length_a 15.3298
_cell_length_b 6.2601
_cell_length_c 10.9387
_cell_angle_alpha 90.00
_cell_angle_beta 105.22
_cell_angle_gamma 90.00
_symmetry_space_group_name_H-M 'C 1 2 1'
_symmetry_Int_Tables_number 5
loop_
_symmetry_equiv_pos_as_xyz
'x,y,z'
'-x,y,-z'
'x+1/2,y+1/2,z'
'-x+1/2,y+1/2,-z'
loop_
_atom_site_label
_atom_site_type_symbol
_atom_site_fract_x
_atom_site_fract_y
_atom_site_fract_z
_atom_site_occupancy
K1 K 0.2372 0.0000 0.3987 1
K2 K 0.2373 0.0000 0.8987 1
Mn1 Mn 0.0000 0.2617 0.0000 1
Mn2 Mn 0.0000 0.2656 0.5000 1
Mn3 Mn 0.0000 0.7364 0.5000 1
Mn4 Mn 0.0000 0.7383 0.0000 1
Mn5 Mn 0.0000 0.9993 0.2497 1
V1 V 0.1207 0.4997 0.2953 1
V2 V 0.1209 0.4999 0.7955 1
H1 H 0.1393 0.0000 0.1293 1
H2 H 0.1388 0.0000 0.6293 1
O1 O 0.0722 0.0001 0.6090 1
O2 O 0.0727 0.0000 0.1092 1
O3 O 0.0840 0.5000 0.1271 1
O4 O 0.0844 0.5004 0.6274 1
O5 O 0.0849 0.2673 0.3607 1
O6 O 0.0854 0.2676 0.8609 1
O7 O 0.0852 0.7321 0.3607 1
O8 O 0.0854 0.7325 0.8608 1
O9 O 0.2368 0.4998 0.3394 1
O10 O 0.2370 0.4999 0.8396 1
```